No. 1
# Li7Mn4CoO12
Calculated powder diffractogram, Cu Kα X-rays. Input: a GGA+U-relaxed structure.
No peak broadening, texture or thermal motion is included.

Cell and atoms:
abc: 2.9458 9.8402 15.2890
angles: 78.90 89.09 87.69
Positions (direct):
Li1 0.0000 0.0000 0.0000
Li2 0.9999 0.5003 0.5002
Li3 0.0012 0.2490 0.7494
Li4 0.0167 0.5084 0.1671
Li5 0.0199 0.0082 0.6681
Li6 0.4888 0.2357 0.5936
Li7 0.4968 0.7391 0.0962
Li8 0.4999 0.2502 0.2500
Li9 0.5002 0.7499 0.7498
Li10 0.5032 0.2610 0.9038
Li11 0.5112 0.7644 0.4067
Li12 0.9797 0.9912 0.3320
Li13 0.9832 0.4917 0.8328
Li14 0.9987 0.7510 0.2506
Mn1 0.0029 0.2513 0.4189
Mn2 0.0126 0.7504 0.9203
Mn3 0.4806 0.9920 0.1701
Mn4 0.4921 0.4905 0.6707
Mn5 0.5075 0.5094 0.3294
Mn6 0.5192 0.0080 0.8299
Mn7 0.9873 0.2496 0.0798
Mn8 0.9973 0.7488 0.5811
Co1 0.5001 0.9999 0.5000
Co2 0.4999 0.5000 0.0000
O1 0.0026 0.1104 0.8694
O2 0.0045 0.8665 0.4652
O3 0.0089 0.3902 0.6301
O4 0.0175 0.3849 0.3011
O5 0.0319 0.8845 0.8007
O6 0.0407 0.6208 0.0383
O7 0.4507 0.1225 0.0490
O8 0.4726 0.6268 0.8834
O9 0.4845 0.6235 0.5505
O10 0.4921 0.8887 0.2830
O11 0.4952 0.1436 0.3765
O12 0.4957 0.3868 0.7829
O13 0.5041 0.6130 0.2173
O14 0.5078 0.1112 0.7170
O15 0.5082 0.8571 0.6237
O16 0.5130 0.3759 0.4495
O17 0.5274 0.3732 0.1167
O18 0.5493 0.8775 0.9511
O19 0.9593 0.3792 0.9618
O20 0.9682 0.1155 0.1994
O21 0.9818 0.6148 0.6991
O22 0.9903 0.6096 0.3700
O23 0.9959 0.1339 0.5344
O24 0.9974 0.8896 0.1306

Peak list (10 most intense, 10° ≤ 2θ ≤ 80°, low angle first)
2θ 11.81, intensity 14; 2θ 18.35, intensity 100; 2θ 35.11, intensity 14; 2θ 35.98, intensity 12; 2θ 36.35, intensity 12; 2θ 42.30, intensity 31; 2θ 43.86, intensity 27; 2θ 44.12, intensity 27; 2θ 62.38, intensity 15; 2θ 63.18, intensity 8

No. 2
# Li3MnCoO5
Calculated powder diffractogram, Cu Kα X-rays. Input: a GGA+U-relaxed structure.
No peak broadening, texture or thermal motion is included.

Cell and atoms:
abc: 6.5344 6.5344 9.7848
angles: 101.18 101.18 25.79
Positions (direct):
Li1 0.0000 0.0000 0.0000
Li2 0.0978 0.0978 0.2916
Li3 0.3068 0.3068 0.8987
Li4 0.5000 0.5000 0.5000
Li5 0.6932 0.6932 0.1013
Li6 0.9022 0.9022 0.7084
Mn1 0.4053 0.4053 0.1944
Mn2 0.5947 0.5947 0.8056
Co1 0.2020 0.2020 0.6016
Co2 0.7980 0.7980 0.3984
O1 0.0577 0.0577 0.6649
O2 0.1455 0.1455 0.9322
O3 0.2602 0.2602 0.2559
O4 0.3441 0.3441 0.5388
O5 0.4600 0.4600 0.8436
O6 0.5400 0.5400 0.1564
O7 0.6559 0.6559 0.4612
O8 0.7398 0.7398 0.7441
O9 0.8545 0.8545 0.0678
O10 0.9423 0.9423 0.3351

Peak list (10 most intense, 10° ≤ 2θ ≤ 80°, low angle first)
2θ 14.19, intensity 8; 2θ 18.44, intensity 100; 2θ 36.01, intensity 37; 2θ 43.57, intensity 57; 2θ 43.85, intensity 27; 2θ 47.96, intensity 8; 2θ 57.48, intensity 11; 2θ 62.82, intensity 7; 2θ 63.54, intensity 29; 2θ 63.83, intensity 8

Which formula does entry 2 have? Li3MnCoO5